No. 1
Structure and calculated XRD peak list of TbTlAg2 (a cell relaxed with PBE; Cu Kα X-rays).

a b c (Å): 5.013 5.013 5.013
angles (deg): 60.00 60.00 60.00
Positions (direct):
Tb (0.000, 0.000, 0.000)
Tl (0.500, 0.500, 0.500)
Ag (0.250, 0.250, 0.250)
Ag (0.750, 0.750, 0.750)

Peak list (8 most intense, 15 to 90 degrees two-theta, in order of rising 2θ)
d (Å), I/Imax
3.545, 6.1
2.507, 100.0
2.047, 2.0
1.772, 17.5
1.585, 2.9
1.447, 35.5
1.253, 11.0
1.121, 16.0

No. 2
Structure and calculated XRD peak list of Nd2Zn6Ge3 (a cell relaxed with PBE; Cu Kα X-rays).

a b c (Å): 7.683 7.683 4.111
angles (deg): 90.00 90.00 120.00
Positions (direct):
Nd (0.333, 0.667, 0.000)
Nd (0.667, 0.333, 0.000)
Zn (0.000, 0.190, 0.000)
Zn (0.000, 0.712, 0.500)
Zn (0.190, 0.000, 0.000)
Zn (0.288, 0.288, 0.500)
Zn (0.712, 0.000, 0.500)
Zn (0.810, 0.810, 0.000)
Ge (0.000, 0.383, 0.500)
Ge (0.383, 0.000, 0.500)
Ge (0.617, 0.617, 0.500)

Peak list (8 most intense, 15 to 90 degrees two-theta, in order of rising 2θ)
d (Å), I/Imax
2.807, 100.0
2.586, 14.4
2.515, 22.4
2.218, 32.4
2.145, 53.4
2.056, 24.4
1.508, 18.8
1.369, 21.0

Number 1 is which compound?
TbTlAg2

Number 1 is which compound?
TbTlAg2